The following is a calculated PXRD pattern of Mg16Al12Ag. It was derived from a cell relaxed with PBE, using λ = 1.5418 Å (Cu Kα).

Peak list (6 most intense, 10 to 90 degrees two-theta, by intensity)
hkl, d [Å], I (rel.)
4 2 -2, 2.471, 100
0 0 3, 2.479, 81
1 5 -2, 2.463, 43
1 1 -1, 7.424, 41
3 5 -2, 2.230, 26
4 4 -3, 2.054, 19

Structural model:
a b c (Å): 10.503 14.759 9.091
angles (deg): 90.00 125.02 90.00
Space group Cm (No. 8)
Inequivalent atoms, fractional coordinates:
1 Mg 0.000 0.000 0.000
2 Mg 0.004 0.000 0.346
3 Mg 0.017 0.306 0.658
4 Mg 0.044 0.366 0.350
5 Mg 0.201 0.201 0.026
6 Mg 0.313 0.000 0.051
7 Mg 0.329 0.326 0.347
8 Mg 0.347 0.342 0.744
9 Mg 0.363 0.000 0.682
10 Mg 0.444 0.156 0.944
11 Al 0.096 0.093 0.708
12 Al 0.137 0.500 0.166
13 Al 0.184 0.185 0.526
14 Al 0.229 0.407 0.981
15 Al 0.271 0.091 0.336
16 Al 0.319 0.500 0.528
17 Al 0.497 0.314 0.157
18 Ag 0.146 0.500 0.667

***

The following is a calculated PXRD pattern of CsRbMg6. It was derived from a cell relaxed with PBE, using λ = 1.5418 Å (Cu Kα).

Peak list (6 most intense, 10 to 90 degrees two-theta, by intensity)
hkl, d [Å], I (rel.)
2 1 -1, 2.813, 100
0 1 1, 4.321, 95
0 1 2, 3.190, 89
0 0 1, 8.189, 46
0 2 0, 2.542, 44
0 0 2, 4.095, 43

Structural model:
a b c (Å): 6.901 5.087 8.355
angles (deg): 90.00 101.42 90.00
Space group Pm (No. 6)
Inequivalent atoms, fractional coordinates:
1 Cs 0.000 0.000 0.000
2 Rb 0.501 0.000 0.001
3 Mg 0.133 0.000 0.481
4 Mg 0.186 0.500 0.691
5 Mg 0.346 0.500 0.357
6 Mg 0.623 0.000 0.472
7 Mg 0.667 0.500 0.686
8 Mg 0.851 0.500 0.370

***

The following is a calculated PXRD pattern of PuPd4Au5. It was derived from a cell relaxed with PBE, using λ = 1.5418 Å (Cu Kα).

Peak list (6 most intense, 10 to 90 degrees two-theta, by intensity)
hkl, d [Å], I (rel.)
3 1 -2, 2.317, 100
5 1 0, 2.285, 94
0 2 0, 2.367, 53
2 0 2, 2.412, 52
2 2 2, 1.689, 35
3 3 -2, 1.357, 19

Structural model:
a b c (Å): 13.372 4.735 5.811
angles (deg): 90.00 102.75 90.00
Space group C2/m (No. 12)
Inequivalent atoms, fractional coordinates:
1 Pu 0.000 0.000 0.000
2 Pd 0.104 0.500 0.864
3 Pd 0.204 0.000 0.316
4 Au 0.000 0.000 0.500
5 Au 0.099 0.500 0.370
6 Au 0.208 0.000 0.813